Diffraction record for HoEr6Mg. The powder diffraction line list is calculated, not measured: it uses a PBE-relaxed structure and Cu Kα (λ = 1.5418 Å).
Kinematic intensities with the Lorentz-polarization factor, no thermal factor.

Structural model:
```
data_HoEr6Mg
_space_group_name_H-M_alt 'C 1 2/m 1'
_space_group_IT_number 12
_cell_length_a 10.951
_cell_length_b 4.957
_cell_length_c 9.800
_cell_angle_alpha 90.00
_cell_angle_beta 116.56
_cell_angle_gamma 90.00
loop_
_space_group_symop_operation_xyz
'x,y,z'
'-x,-y,-z'
'-x,y,-z'
'x,-y,z'
'x+1/2,y+1/2,z'
'-x+1/2,-y+1/2,-z'
'-x+1/2,y+1/2,-z'
'x+1/2,-y+1/2,z'
loop_
_atom_site_label
_atom_site_type_symbol
_atom_site_fract_x
_atom_site_fract_y
_atom_site_fract_z
Ho1 Ho 0.000 0.000 0.000
Er1 Er 0.001 0.500 0.750
Er2 Er 0.246 0.000 0.376
Er3 Er 0.250 0.000 0.873
Mg1 Mg 0.000 0.000 0.500
```

Principal peaks in the range 10 to 90 degrees two-theta, by angle:
two_theta	d (Å)	Rel. int.
31.51	2.840	100
36.24	2.479	17
36.69	2.449	33
52.52	1.742	24
52.86	1.732	12
62.25	1.491	14
62.85	1.479	28
65.78	1.420	12
86.02	1.130	12
88.40	1.106	6
89.19	1.098	6
89.46	1.095	5

***

Diffraction record for BaCu3Br8. The powder diffraction line list is calculated, not measured: it uses a PBE-relaxed structure and Cu Kα (λ = 1.5418 Å).
Kinematic intensities with the Lorentz-polarization factor, no thermal factor.

Structural model:
```
data_BaCu3Br8
_space_group_name_H-M_alt 'P -3'
_space_group_IT_number 147
_cell_length_a 6.6077
_cell_length_b 6.6077
_cell_length_c 8.9219
_cell_angle_alpha 90.00
_cell_angle_beta 90.00
_cell_angle_gamma 120.00
loop_
_space_group_symop_operation_xyz
'x,y,z'
'-x,-y,-z'
'-y,x-y,z'
'y,-x+y,-z'
'-x+y,-x,z'
'x-y,x,-z'
loop_
_atom_site_label
_atom_site_type_symbol
_atom_site_fract_x
_atom_site_fract_y
_atom_site_fract_z
Ba1 Ba 0.0000 0.0000 0.0000
Cu1 Cu 0.0000 0.0000 0.5000
Cu2 Cu 0.3333 0.6667 0.7310
Br1 Br 0.0081 0.3100 0.3249
Br2 Br 0.3333 0.6667 0.0016
```

Principal peaks in the range 10 to 90 degrees two-theta, by angle:
two_theta	d (Å)	Rel. int.
18.42	4.817	16
25.31	3.518	14
26.99	3.304	18
28.82	3.098	100
30.05	2.974	37
33.76	2.655	69
37.34	2.408	12
47.68	1.907	46
49.29	1.849	43
56.67	1.624	12
57.39	1.606	30
71.00	1.327	13

***

Diffraction record for Ac2UNiS6. The powder diffraction line list is calculated, not measured: it uses a PBE-relaxed structure and Cu Kα (λ = 1.5418 Å).
Kinematic intensities with the Lorentz-polarization factor, no thermal factor.

Structural model:
```
data_Ac2UNiS6
_space_group_name_H-M_alt 'P 4/m m m'
_space_group_IT_number 123
_space_group_name_Hall '-P 4 2'
_cell_length_a 4.991
_cell_length_b 4.991
_cell_length_c 9.473
_cell_angle_alpha 90.00
_cell_angle_beta 90.00
_cell_angle_gamma 90.00
loop_
_atom_site_label
_atom_site_type_symbol
_atom_site_fract_x
_atom_site_fract_y
_atom_site_fract_z
Ac1 Ac 0.000 0.000 0.210
U1 U 0.500 0.500 0.500
Ni1 Ni 0.500 0.500 0.000
S1 S 0.000 0.500 0.000
S2 S 0.000 0.500 0.500
S3 S 0.500 0.500 0.232
```

Principal peaks in the range 10 to 90 degrees two-theta, by angle:
two_theta	d (Å)	Rel. int.
20.11	4.415	33
25.24	3.529	63
25.93	3.436	100
31.62	2.830	14
35.99	2.495	50
38.25	2.353	23
44.90	2.019	48
46.38	1.958	14
51.81	1.764	17
53.33	1.718	19
58.48	1.578	14
64.52	1.444	14